Diffraction record for Li4Mn3O7. The powder XRD pattern is calculated, not measured: it uses the GGA+U geometry in Alexandria and λ = 1.5418 Å (Cu Kα).
Intensities are scaled so that the largest is 100.

Main lines, in order of rising 2θ (2θ from 10° to 90°):
2theta, I/Imax
18.3, 100
33.7, 17
36.3, 24
40.5, 36
44.3, 28
44.5, 27
61.4, 17
61.8, 8
62.0, 8
65.0, 7

Cell: 5.3468 6.0146 8.6891 Å, 91.96 93.55 110.91°
Space group P-1 (No. 2)
Unique sites:
Li 0.0000 0.0000 0.0000
Li 0.0000 0.5000 0.0000
Li 0.1640 0.2796 0.2877
Li 0.2864 0.5694 0.5752
Li 0.4164 0.8485 0.8638
Mn 0.1414 0.7802 0.2829
Mn 0.2846 0.0678 0.5735
Mn 0.4288 0.3564 0.8591
O 0.0204 0.7608 0.4969
O 0.1620 0.0444 0.7859
O 0.1633 0.4993 0.7923
O 0.3100 0.7993 0.0900
O 0.3149 0.3327 0.0668
O 0.4055 0.0942 0.3649
O 0.4501 0.6183 0.3492